Simulated powder X-ray diffraction pattern
Compound: SrGdFeCoO6
Radiation: a wavelength of 1.5418 Å
Structure: a PBE+U-relaxed structure
Peak positions follow from Bragg's law for the DFT cell and can differ from measured ones.

Peak list (12 most intense, 2θ from 10° to 90°, in order of rising 2θ)
| d/Å | intensity |
| --- | --- |
| 4.426 | 9.2 |
| 3.833 | 7.7 |
| 2.710 | 100.0 |
| 2.311 | 5.2 |
| 2.213 | 16.2 |
| 1.916 | 33.6 |
| 1.714 | 4.5 |
| 1.565 | 37.7 |
| 1.355 | 19.5 |
| 1.212 | 16.2 |
| 1.156 | 5.2 |
| 1.106 | 6.7 |

Cell: 5.420 5.420 5.420 Å, 60.00 60.00 60.00°
Positions (direct):
Sr 0.000 0.000 0.000
Gd 0.500 0.500 0.500
Fe 0.750 0.750 0.750
Co 0.250 0.250 0.250
O 0.005 0.005 0.495
O 0.005 0.495 0.005
O 0.005 0.495 0.495
O 0.495 0.005 0.005
O 0.495 0.005 0.495
O 0.495 0.495 0.005